For Er12NiSb6, a crystal structure in Alexandria, relaxed with PBE gives the calculated X-ray diffraction stick pattern in this record (CuKα).
Intensities are scaled so that the largest is 1000.

Peak list (12 most intense, 10° ≤ 2θ ≤ 80°, low angle first)
- 22.3°, I 340
- 25.9°, I 387
- 27.6°, I 292
- 29.7°, I 185
- 31.2°, I 591
- 32.5°, I 1000
- 35.4°, I 234
- 36.8°, I 414
- 37.0°, I 574
- 38.2°, I 538
- 54.4°, I 258
- 70.9°, I 203

Structure:
```
data_Er12NiSb6
_chemical_formula_sum 'Er12 Ni1 Sb6'
_symmetry_space_group_name_H-M 'P 1'
_symmetry_Int_Tables_number 1
_cell_length_a 8.4511
_cell_length_b 8.4511
_cell_length_c 8.4511
_cell_angle_alpha 99.92
_cell_angle_beta 99.92
_cell_angle_gamma 99.92
loop_
_symmetry_equiv_pos_as_xyz
'x,y,z'
loop_
_atom_site_label
_atom_site_type_symbol
_atom_site_fract_x
_atom_site_fract_y
_atom_site_fract_z
Er1 Er 0.0122 0.6918 0.9422
Er2 Er 0.0578 0.9878 0.3082
Er3 Er 0.1972 0.4134 0.5450
Er4 Er 0.3082 0.0578 0.9878
Er5 Er 0.4134 0.5450 0.1972
Er6 Er 0.4550 0.8028 0.5866
Er7 Er 0.5450 0.1972 0.4134
Er8 Er 0.5866 0.4550 0.8028
Er9 Er 0.6918 0.9422 0.0122
Er10 Er 0.8028 0.5866 0.4550
Er11 Er 0.9422 0.0122 0.6918
Er12 Er 0.9878 0.3082 0.0578
Ni1 Ni 0.0000 0.0000 0.0000
Sb1 Sb 0.1194 0.6435 0.3147
Sb2 Sb 0.3147 0.1194 0.6435
Sb3 Sb 0.3565 0.6853 0.8806
Sb4 Sb 0.6435 0.3147 0.1194
Sb5 Sb 0.6853 0.8806 0.3565
Sb6 Sb 0.8806 0.3565 0.6853
```